Record 1
The following is a calculated powder X-ray diffraction pattern of K4LiF5. It was derived from a PBE-relaxed structure, using a wavelength of 1.5418 Å.

```
data_K4LiF5
_space_group_name_H-M_alt 'P 1'
_space_group_IT_number 1
_space_group_name_Hall 'P 1'
_cell_length_a 6.346
_cell_length_b 6.346
_cell_length_c 6.346
_cell_angle_alpha 100.42
_cell_angle_beta 100.42
_cell_angle_gamma 129.66
loop_
_atom_site_label
_atom_site_type_symbol
_atom_site_fract_x
_atom_site_fract_y
_atom_site_fract_z
K1 K 0.098 0.295 0.393
K2 K 0.295 0.902 0.197
K3 K 0.705 0.098 0.803
K4 K 0.902 0.705 0.607
Li1 Li 0.559 0.559 0.000
F1 F 0.230 0.580 0.819
F2 F 0.411 0.230 0.650
F3 F 0.580 0.761 0.350
F4 F 0.761 0.411 0.181
F5 F 0.910 0.910 0.000
```

Main lines, in order of falling intensity (2θ = 10–90°):
d [Å], Rel. int.
2.569, 1000
1.861, 625
2.699, 535
3.014, 368
1.816, 256
1.507, 227
1.556, 108
1.195, 102
4.496, 101
1.160, 74
1.149, 72
2.872, 69

---

Record 2
The following is a calculated powder X-ray diffraction pattern of Tm5Sn2N. It was derived from a PBE-relaxed structure, using a wavelength of 1.5418 Å.

```
data_Tm5Sn2N
_space_group_name_H-M_alt 'P 1'
_space_group_IT_number 1
_space_group_name_Hall 'P 1'
_cell_length_a 8.590
_cell_length_b 8.590
_cell_length_c 11.896
_cell_angle_alpha 90.00
_cell_angle_beta 90.00
_cell_angle_gamma 148.48
loop_
_atom_site_label
_atom_site_type_symbol
_atom_site_fract_x
_atom_site_fract_y
_atom_site_fract_z
Tm1 Tm 0.111 0.889 0.612
Tm2 Tm 0.111 0.889 0.888
Tm3 Tm 0.271 0.729 0.250
Tm4 Tm 0.308 0.692 0.586
Tm5 Tm 0.308 0.692 0.914
Tm6 Tm 0.692 0.308 0.086
Tm7 Tm 0.692 0.308 0.414
Tm8 Tm 0.729 0.271 0.750
Tm9 Tm 0.889 0.111 0.112
Tm10 Tm 0.889 0.111 0.388
Sn1 Sn 0.074 0.926 0.133
Sn2 Sn 0.074 0.926 0.367
Sn3 Sn 0.926 0.074 0.633
Sn4 Sn 0.926 0.074 0.867
N1 N 0.220 0.780 0.750
N2 N 0.780 0.220 0.250
```

Main lines, in order of falling intensity (2θ = 10–90°):
d [Å], Rel. int.
2.973, 1000
2.698, 731
4.491, 368
2.333, 365
8.267, 325
2.263, 279
2.480, 243
2.631, 242
1.998, 227
1.624, 200
2.414, 167
2.862, 160

---

Record 3
The following is a calculated powder X-ray diffraction pattern of YVCu. It was derived from a PBE-relaxed structure, using a wavelength of 1.5418 Å.

```
data_YVCu
_space_group_name_H-M_alt 'P 1'
_space_group_IT_number 1
_space_group_name_Hall 'P 1'
_cell_length_a 5.558
_cell_length_b 5.558
_cell_length_c 5.527
_cell_angle_alpha 90.65
_cell_angle_beta 90.65
_cell_angle_gamma 42.21
loop_
_atom_site_label
_atom_site_type_symbol
_atom_site_fract_x
_atom_site_fract_y
_atom_site_fract_z
Y1 Y 0.000 0.000 0.000
Y2 Y 0.587 0.587 0.503
V1 V 0.295 0.295 0.746
V2 V 0.719 0.719 0.997
Cu1 Cu 0.292 0.292 0.249
Cu2 Cu 0.867 0.867 0.496
```

Main lines, in order of falling intensity (2θ = 10–90°):
d [Å], Rel. int.
2.357, 1000
2.616, 657
2.217, 582
2.226, 558
2.001, 479
2.373, 461
3.101, 382
1.525, 292
2.336, 290
1.389, 256
2.764, 234
2.451, 217

---

Record 4
The following is a calculated powder X-ray diffraction pattern of TmHg2Pd7. It was derived from a PBE-relaxed structure, using a wavelength of 1.5418 Å.

```
data_TmHg2Pd7
_space_group_name_H-M_alt 'P 1'
_space_group_IT_number 1
_space_group_name_Hall 'P 1'
_cell_length_a 7.943
_cell_length_b 7.943
_cell_length_c 4.330
_cell_angle_alpha 90.00
_cell_angle_beta 90.00
_cell_angle_gamma 125.25
loop_
_atom_site_label
_atom_site_type_symbol
_atom_site_fract_x
_atom_site_fract_y
_atom_site_fract_z
Tm1 Tm 0.000 0.000 0.000
Hg1 Hg 0.300 0.700 0.500
Hg2 Hg 0.700 0.300 0.500
Pd1 Pd 0.082 0.283 0.500
Pd2 Pd 0.187 0.813 0.000
Pd3 Pd 0.283 0.082 0.500
Pd4 Pd 0.500 0.500 0.500
Pd5 Pd 0.717 0.918 0.500
Pd6 Pd 0.813 0.187 0.000
Pd7 Pd 0.918 0.717 0.500
```

Main lines, in order of falling intensity (2θ = 10–90°):
d [Å], Rel. int.
2.249, 1000
2.099, 489
2.165, 394
4.330, 390
3.601, 368
3.652, 301
2.537, 251
1.243, 207
1.977, 189
6.486, 177
1.266, 158
1.460, 154

---

Record 5
The following is a calculated powder X-ray diffraction pattern of Ce4Pb2N. It was derived from a PBE-relaxed structure, using a wavelength of 1.5418 Å.

```
data_Ce4Pb2N
_space_group_name_H-M_alt 'P 1'
_space_group_IT_number 1
_space_group_name_Hall 'P 1'
_cell_length_a 8.965
_cell_length_b 8.965
_cell_length_c 8.965
_cell_angle_alpha 148.58
_cell_angle_beta 148.58
_cell_angle_gamma 45.04
loop_
_atom_site_label
_atom_site_type_symbol
_atom_site_fract_x
_atom_site_fract_y
_atom_site_fract_z
Ce1 Ce 0.000 0.500 0.500
Ce2 Ce 0.157 0.157 0.000
Ce3 Ce 0.500 0.000 0.500
Ce4 Ce 0.843 0.843 0.000
Pb1 Pb 0.357 0.357 0.000
Pb2 Pb 0.643 0.643 0.000
N1 N 0.000 0.000 0.000
```

Main lines, in order of falling intensity (2θ = 10–90°):
d [Å], Rel. int.
2.643, 1000
2.428, 557
3.171, 520
1.439, 341
1.823, 324
2.760, 273
3.433, 259
1.492, 206
1.717, 195
1.126, 173
1.458, 156
1.510, 118

---

Record 6
The following is a calculated powder X-ray diffraction pattern of SbH2F8. It was derived from a PBE-relaxed structure, using a wavelength of 1.5418 Å.

```
data_SbH2F8
_space_group_name_H-M_alt 'P 1'
_space_group_IT_number 1
_space_group_name_Hall 'P 1'
_cell_length_a 5.571
_cell_length_b 5.571
_cell_length_c 5.089
_cell_angle_alpha 97.09
_cell_angle_beta 97.09
_cell_angle_gamma 68.76
loop_
_atom_site_label
_atom_site_type_symbol
_atom_site_fract_x
_atom_site_fract_y
_atom_site_fract_z
Sb1 Sb 0.000 0.000 0.000
H1 H 0.273 0.273 0.505
H2 H 0.727 0.727 0.495
F1 F 0.146 0.717 0.219
F2 F 0.189 0.189 0.226
F3 F 0.283 0.854 0.781
F4 F 0.322 0.322 0.690
F5 F 0.678 0.678 0.310
F6 F 0.717 0.146 0.219
F7 F 0.811 0.811 0.774
F8 F 0.854 0.283 0.781
```

Main lines, in order of falling intensity (2θ = 10–90°):
d [Å], Rel. int.
5.174, 1000
3.771, 434
5.031, 399
3.463, 396
2.385, 389
3.147, 306
4.546, 273
3.656, 225
1.964, 207
2.731, 186
1.886, 158
1.731, 150

---

Record 7
The following is a calculated powder X-ray diffraction pattern of CsK2MgI5. It was derived from a PBE-relaxed structure, using a wavelength of 1.5418 Å.

```
data_CsK2MgI5
_space_group_name_H-M_alt 'P 1'
_space_group_IT_number 1
_space_group_name_Hall 'P 1'
_cell_length_a 10.845
_cell_length_b 10.845
_cell_length_c 10.845
_cell_angle_alpha 125.35
_cell_angle_beta 125.35
_cell_angle_gamma 80.95
loop_
_atom_site_label
_atom_site_type_symbol
_atom_site_fract_x
_atom_site_fract_y
_atom_site_fract_z
Cs1 Cs 0.250 0.250 0.000
Cs2 Cs 0.750 0.750 0.000
K1 K 0.159 0.659 0.818
K2 K 0.341 0.159 0.500
K3 K 0.659 0.841 0.500
K4 K 0.841 0.341 0.182
Mg1 Mg 0.250 0.750 0.500
Mg2 Mg 0.750 0.250 0.500
I1 I 0.000 0.000 0.000
I2 I 0.005 0.206 0.500
I3 I 0.206 0.706 0.202
I4 I 0.294 0.495 0.500
I5 I 0.495 0.995 0.202
I6 I 0.500 0.500 0.000
I7 I 0.505 0.005 0.798
I8 I 0.706 0.505 0.500
I9 I 0.794 0.294 0.798
I10 I 0.995 0.794 0.500
```

Main lines, in order of falling intensity (2θ = 10–90°):
d [Å], Rel. int.
3.461, 1000
3.148, 693
3.559, 401
3.176, 331
4.299, 296
2.131, 262
1.752, 203
2.040, 196
3.520, 175
2.226, 154
2.083, 146
1.725, 140

---

Record 8
The following is a calculated powder X-ray diffraction pattern of Pr5TmMg6. It was derived from a PBE-relaxed structure, using a wavelength of 1.5418 Å.

```
data_Pr5TmMg6
_space_group_name_H-M_alt 'P 1'
_space_group_IT_number 1
_space_group_name_Hall 'P 1'
_cell_length_a 5.487
_cell_length_b 7.787
_cell_length_c 8.685
_cell_angle_alpha 90.00
_cell_angle_beta 108.36
_cell_angle_gamma 90.00
loop_
_atom_site_label
_atom_site_type_symbol
_atom_site_fract_x
_atom_site_fract_y
_atom_site_fract_z
Pr1 Pr 0.000 0.000 0.000
Pr2 Pr 0.331 0.000 0.662
Pr3 Pr 0.336 0.500 0.672
Pr4 Pr 0.664 0.500 0.328
Pr5 Pr 0.669 0.000 0.338
Tm1 Tm 0.000 0.500 0.000
Mg1 Mg 0.164 0.256 0.328
Mg2 Mg 0.164 0.744 0.328
Mg3 Mg 0.500 0.254 0.000
Mg4 Mg 0.500 0.746 0.000
Mg5 Mg 0.836 0.256 0.672
Mg6 Mg 0.836 0.744 0.672
```

Main lines, in order of falling intensity (2θ = 10–90°):
d [Å], Rel. int.
2.748, 1000
3.886, 595
1.587, 251
2.244, 185
1.739, 149
1.585, 126
1.941, 121
1.736, 105
1.375, 96
1.228, 92
1.296, 72
1.947, 61